Starting from a DFT-relaxed cell (PBE+U, Alexandria), the X-ray diffraction stick pattern of LiFe3SiPO8 was computed for Cu Kα (λ = 1.5418 Å).
Intensities are scaled so that the largest is 100.

Top 10 peaks for 10 to 80 degrees two-theta, most intense first:
| hkl | 2θ/deg | I_rel |
| --- | --- | --- |
| 1 2 -1 | 35.7 | 100 |
| 1 1 -3 | 34.7 | 69 |
| 1 1 3 | 34.9 | 67 |
| 1 1 1 | 25.0 | 61 |
| 1 0 -3 | 31.4 | 55 |
| 2 2 -2 | 51.1 | 54 |
| 1 0 -4 | 38.8 | 52 |
| 1 1 -1 | 24.9 | 49 |
| 2 2 2 | 51.3 | 47 |
| 0 2 0 | 29.1 | 45 |

Cell and atoms:
a = 4.8307 Å, b = 6.1289 Å, c = 10.5330 Å
α = 90.00°, β = 90.47°, γ = 90.00°
Space group P2_1/m (No. 11)
Unique sites:
Li 0.0000 0.0000 0.0000 [2 per cell]
Fe 0.0288 0.2500 0.7250 [2 per cell]
Fe 0.4912 0.2500 0.2146 [2 per cell]
Fe 0.5000 0.0000 0.5000 [2 per cell]
Si 0.0712 0.7500 0.5975 [2 per cell]
P 0.4166 0.7500 0.0940 [2 per cell]
O 0.2052 0.7500 0.4520 [2 per cell]
O 0.2160 0.5370 0.6673 [4 per cell]
O 0.2647 0.2500 0.9068 [2 per cell]
O 0.2681 0.2500 0.4042 [2 per cell]
O 0.2868 0.7500 0.9579 [2 per cell]
O 0.2891 0.5471 0.1641 [4 per cell]